1.
This entry pairs a crystal structure of Ho6Er3Cd with its theoretical powder diffractogram. Radiation: Cu Ka. Structure: the GGA-PBE geometry in Alexandria.
Kinematic intensities with the Lorentz-polarization factor, no thermal factor.

Crystal structure
```
Ho6Er3Cd
1.0
4.753 -6.942 0.000
4.753 6.942 0.000
0.000 0.000 9.193
Ho Er Cd
12 6 2
direct
0.068 0.932 0.500
0.122 0.282 0.685
0.174 0.475 0.026
0.282 0.122 0.185
0.303 0.697 0.617
0.475 0.174 0.526
0.525 0.826 0.026
0.697 0.303 0.117
0.718 0.878 0.685
0.826 0.525 0.526
0.878 0.718 0.185
0.932 0.068 0.000
0.034 0.321 0.340
0.321 0.034 0.840
0.474 0.526 0.333
0.526 0.474 0.833
0.679 0.966 0.340
0.966 0.679 0.840
0.250 0.750 0.284
0.750 0.250 0.784
```

Most intense lines, 2θ from 10° to 90°, by angle:
2theta  I/Imax
28.9  49.8
30.0  25.1
30.5  57.9
31.9  100.0
33.4  42.5
35.0  68.0

2.
This entry pairs a crystal structure of Ho3Er7Cd with its theoretical powder diffractogram. Radiation: Cu Ka. Structure: the GGA-PBE geometry in Alexandria.
Kinematic intensities with the Lorentz-polarization factor, no thermal factor.

Crystal structure
```
Ho3Er7Cd
1.0
6.884 0.000 0.000
-3.442 5.961 0.000
0.000 0.000 8.449
Ho Er Cd
3 7 1
direct
0.168 0.337 0.000
0.168 0.832 0.000
0.663 0.832 0.000
0.006 0.503 0.339
0.332 0.166 0.664
0.333 0.667 0.671
0.497 0.503 0.339
0.497 0.994 0.339
0.834 0.166 0.664
0.834 0.668 0.664
0.000 0.000 0.339
```

Most intense lines, 2θ from 10° to 90°, by angle:
2theta  I/Imax
31.8  100.0
36.9  50.8
53.2  35.2
63.3  31.3
63.4  10.4
66.5  9.1

3.
This entry pairs a crystal structure of Ho8Er2Cd with its theoretical powder diffractogram. Radiation: Cu Ka. Structure: the GGA-PBE geometry in Alexandria.
Kinematic intensities with the Lorentz-polarization factor, no thermal factor.

Crystal structure
```
Ho8Er2Cd
1.0
6.030 0.000 0.000
1.028 5.955 0.000
0.971 -0.166 9.160
Ho Er Cd
8 2 1
direct
0.048 0.406 0.321
0.134 0.225 0.956
0.230 0.042 0.590
0.410 0.681 0.862
0.590 0.319 0.138
0.770 0.958 0.410
0.866 0.775 0.044
0.952 0.594 0.679
0.312 0.862 0.230
0.688 0.138 0.770
0.500 0.500 0.500
```

Most intense lines, 2θ from 10° to 90°, by angle:
2theta  I/Imax
31.4  100.0
36.4  33.8
36.6  16.7
52.5  17.8
62.4  17.6
62.6  14.0